(1)
Computed powder X-ray diffraction pattern
Compound: La7SmMn6Fe2O24
Radiation: copper Kα
Structure: DFT lattice parameters and positions (PBE+U)
No peak broadening, texture or thermal motion is included.

Cell lengths 7.9036, 11.1406, 11.1395 Å; angles 90.00, 90.00, 90.00 degrees
Space group Amm2 (No. 38)
Symmetry-distinct sites (fractional):
1 La 0.0000 0.0000 0.0000 x2
2 La 0.0000 0.0000 0.4971 x2
3 La 0.0000 0.2486 0.2486 x4
4 La 0.5000 0.0000 0.4971 x2
5 La 0.5000 0.2485 0.2486 x4
6 Sm 0.5000 0.0000 0.0001 x2
7 Mn 0.2502 0.0000 0.2483 x4
8 Mn 0.2502 0.2502 0.4986 x8
9 Fe 0.2503 0.0000 0.7488 x4
10 O 0.0000 0.0000 0.2485 x2
11 O 0.0000 0.0000 0.7486 x2
12 O 0.0000 0.2500 0.4986 x4
13 O 0.2500 0.1252 0.3738 x8
14 O 0.2500 0.1250 0.6236 x8
15 O 0.2511 0.1245 0.8741 x8
16 O 0.2511 0.1247 0.1228 x8
17 O 0.5000 0.0000 0.2474 x2
18 O 0.5000 0.0000 0.7496 x2
19 O 0.5000 0.2489 0.9986 x4

Top 10 peaks for 2θ = 10–80°, by intensity:
2theta  Rel. int.  index
32.1  100  2 2 2
57.3  25  2 6 2
46.1  22  0 4 4
39.6  20  2 4 0
22.5  15  2 0 0
67.1  13  4 4 4
57.2  13  4 4 0
45.9  11  4 0 0
76.5  11  2 6 6
67.2  6  0 8 0

(2)
Computed powder X-ray diffraction pattern
Compound: Sr3La7Mn8Fe2O30
Radiation: copper Kα
Structure: DFT lattice parameters and positions (PBE+U)
No peak broadening, texture or thermal motion is included.

Cell lengths 5.5379, 9.6430, 12.3944 Å; angles 75.57, 77.93, 73.86 degrees
Space group P1 (No. 1)
Symmetry-distinct sites (fractional):
1 Sr 0.0000 0.0000 0.0000 x1
2 Sr 0.2015 0.3977 0.2002 x1
3 Sr 0.6034 0.1992 0.5981 x1
4 La 0.0010 0.4949 0.4990 x1
5 La 0.1993 0.9025 0.7014 x1
6 La 0.3982 0.7982 0.4001 x1
7 La 0.4027 0.2949 0.9011 x1
8 La 0.6010 0.6977 0.1009 x1
9 La 0.8003 0.1004 0.2987 x1
10 La 0.7998 0.5973 0.8026 x1
11 Mn 0.0004 0.7495 0.2489 x1
12 Mn 0.0013 0.2478 0.7505 x1
13 Mn 0.1992 0.6495 0.9511 x1
14 Mn 0.2002 0.1487 0.4497 x1
15 Mn 0.4027 0.0480 0.1496 x1
16 Mn 0.5987 0.9493 0.8510 x1
17 Mn 0.6002 0.4476 0.3498 x1
18 Mn 0.8024 0.3469 0.0510 x1
19 Fe 0.4027 0.5472 0.6493 x1
20 Fe 0.8017 0.8496 0.5500 x1
21 O 0.0460 0.4761 0.9842 x1
22 O 0.0675 0.1868 0.1238 x1
23 O 0.0924 0.2335 0.5878 x1
24 O 0.1105 0.6689 0.1101 x1
25 O 0.1390 0.7113 0.5771 x1
26 O 0.1516 0.4221 0.7115 x1
27 O 0.2524 0.8721 0.1926 x1
28 O 0.2629 0.5932 0.3251 x1
29 O 0.2857 0.6353 0.7897 x1
30 O 0.3123 0.0622 0.3117 x1
31 O 0.3248 0.1119 0.7803 x1
32 O 0.3654 0.8145 0.9087 x1
33 O 0.4480 0.2708 0.3879 x1
34 O 0.4617 0.9819 0.5216 x1
35 O 0.4912 0.0326 0.9872 x1
36 O 0.5110 0.4708 0.5064 x1
37 O 0.5341 0.5103 0.9773 x1
38 O 0.5654 0.2171 0.1092 x1
39 O 0.6573 0.6715 0.5887 x1
40 O 0.6668 0.3882 0.7263 x1
41 O 0.6876 0.4366 0.1897 x1
42 O 0.7103 0.8646 0.7128 x1
43 O 0.7284 0.9065 0.1829 x1
44 O 0.7564 0.6224 0.3121 x1
45 O 0.8502 0.0763 0.7869 x1
46 O 0.8666 0.7807 0.9216 x1
47 O 0.8916 0.8346 0.3853 x1
48 O 0.9075 0.2735 0.9096 x1
49 O 0.9349 0.3044 0.3823 x1
50 O 0.9659 0.0170 0.5074 x1

Top 10 peaks for 2θ = 10–80°, by intensity:
2theta  Rel. int.  index
32.4  100  2 1 1
32.0  98  1 1 -3
46.2  42  0 2 6
57.2  27  3 2 -2
39.5  24  2 0 -2
46.1  21  2 -2 2
66.9  17  2 2 -6
57.0  15  -1 5 1
22.6  14  1 2 0
57.3  13  1 6 2